1.
Theoretical powder diffractogram of Ti5Cr2As5 for Cu Kα, 1.54184 Å, from a GGA-PBE-relaxed structure.
No peak broadening, texture or thermal motion is included.

Crystal structure
```
data_Ti5Cr2As5
_chemical_formula_sum 'Ti10 Cr4 As10'
_symmetry_space_group_name_H-M 'I 4 m m'
_symmetry_Int_Tables_number 107
_symmetry_space_group_name_Hall 'I 4 -2'
_cell_length_a 8.5872
_cell_length_b 8.5872
_cell_length_c 5.6086
_cell_angle_alpha 90.00
_cell_angle_beta 90.00
_cell_angle_gamma 90.00
loop_
_atom_site_label
_atom_site_fract_x
_atom_site_fract_y
_atom_site_fract_z
Ti1 0.0000 0.0000 0.0000
Ti2 0.2071 0.2071 0.5174
Cr1 0.0000 0.5000 0.1268
As1 0.0000 0.0000 0.4508
As2 0.0000 0.2815 0.8740
```

Most intense lines, 10 to 80 degrees two-theta, by angle:
d_spacing  2θ (°)  I/Imax  h k l
3.169  28.16  100  2 1 1
2.804  31.91  34  0 0 2
2.549  35.21  98  3 0 1
2.192  41.18  37  3 2 1
2.147  42.09  83  4 0 0
2.060  43.95  87  2 2 2
1.951  46.55  39  3 1 2
1.681  54.60  29  2 1 3
1.642  56.02  51  3 3 2
1.213  78.90  31  5 2 3


2.
Theoretical powder diffractogram of ZnCr3As for Cu Kα, 1.54184 Å, from a GGA-PBE-relaxed structure.
No peak broadening, texture or thermal motion is included.

Crystal structure
```
data_ZnCr3As
_chemical_formula_sum 'Zn1 Cr3 As1'
_symmetry_space_group_name_H-M 'P m -3 m'
_symmetry_Int_Tables_number 221
_symmetry_space_group_name_Hall '-P 4 2 3'
_cell_length_a 4.5646
_cell_length_b 4.5646
_cell_length_c 4.5646
_cell_angle_alpha 90.00
_cell_angle_beta 90.00
_cell_angle_gamma 90.00
loop_
_atom_site_label
_atom_site_fract_x
_atom_site_fract_y
_atom_site_fract_z
Zn1 0.0000 0.0000 0.0000
Cr1 0.0000 0.5000 0.5000
As1 0.5000 0.5000 0.5000
```

Most intense lines, 10 to 80 degrees two-theta, by angle:
d_spacing  2θ (°)  I/Imax  h k l
4.565  19.45  25  1 0 0
3.228  27.64  49  1 1 0
2.635  34.02  52  1 1 1
2.282  39.48  100  2 0 0
2.041  44.38  10  2 1 0
1.863  48.87  21  2 1 1
1.614  57.07  63  2 2 0
1.376  68.13  16  3 1 1
1.318  71.61  20  2 2 2
1.220  78.39  10  3 2 1


3.
Theoretical powder diffractogram of CsAs for Cu Kα, 1.54184 Å, from a GGA-PBE-relaxed structure.
No peak broadening, texture or thermal motion is included.

Crystal structure
```
data_CsAs
_chemical_formula_sum 'Cs8 As8'
_symmetry_space_group_name_H-M 'P 21 21 21'
_symmetry_Int_Tables_number 19
_symmetry_space_group_name_Hall 'P 2ac 2ab'
_cell_length_a 6.8526
_cell_length_b 7.4196
_cell_length_c 12.8681
_cell_angle_alpha 90.00
_cell_angle_beta 90.00
_cell_angle_gamma 90.00
loop_
_atom_site_label
_atom_site_fract_x
_atom_site_fract_y
_atom_site_fract_z
Cs1 0.1016 0.1111 0.0809
Cs2 0.1667 0.3498 0.7143
As1 0.0937 0.5841 0.9716
As2 0.1662 0.1887 0.3999
```

Most intense lines, 10 to 80 degrees two-theta, by angle:
d_spacing  2θ (°)  I/Imax  h k l
3.965  22.42  25  1 1 2
3.636  24.48  35  1 0 3
3.565  24.98  53  0 2 1
3.264  27.32  100  1 1 3
3.111  28.70  35  2 1 0
3.024  29.54  43  2 1 1
2.952  30.28  24  0 1 4
2.910  30.72  52  1 2 2
2.188  41.27  23  1 3 2
1.982  45.78  31  2 3 1


4.
Theoretical powder diffractogram of CsAs6 for Cu Kα, 1.54184 Å, from a GGA-PBE-relaxed structure.
No peak broadening, texture or thermal motion is included.

Crystal structure
```
data_CsAs6
_chemical_formula_sum 'Cs2 As12'
_symmetry_space_group_name_H-M 'I m -3 m'
_symmetry_Int_Tables_number 229
_symmetry_space_group_name_Hall '-I 4 2 3'
_cell_length_a 7.5429
_cell_length_b 7.5429
_cell_length_c 7.5429
_cell_angle_alpha 90.00
_cell_angle_beta 90.00
_cell_angle_gamma 90.00
loop_
_atom_site_label
_atom_site_fract_x
_atom_site_fract_y
_atom_site_fract_z
Cs1 0.0000 0.0000 0.0000
As1 0.0000 0.2500 0.5000
```

Most intense lines, 10 to 80 degrees two-theta, by angle:
d_spacing  2θ (°)  I/Imax  h k l
3.771  23.59  42  2 0 0
3.079  29.00  100  2 1 1
2.177  41.47  17  2 2 2
2.016  44.97  59  3 2 1
1.886  48.26  26  4 0 0
1.687  54.40  17  4 2 0
1.608  57.29  14  3 3 2
1.377  68.08  17  5 2 1
1.333  70.64  17  4 4 0
1.224  78.10  17  6 1 1


5.
Theoretical powder diffractogram of CsAs for Cu Kα, 1.54184 Å, from a GGA-PBE-relaxed structure.
No peak broadening, texture or thermal motion is included.

Crystal structure
```
data_CsAs
_chemical_formula_sum 'Cs6 As6'
_symmetry_space_group_name_H-M 'I m m 2'
_symmetry_Int_Tables_number 44
_symmetry_space_group_name_Hall 'I 2 -2'
_cell_length_a 5.7220
_cell_length_b 14.7604
_cell_length_c 7.2381
_cell_angle_alpha 90.00
_cell_angle_beta 90.00
_cell_angle_gamma 90.00
loop_
_atom_site_label
_atom_site_fract_x
_atom_site_fract_y
_atom_site_fract_z
Cs1 0.0000 0.0000 0.0000
Cs2 0.0000 0.2950 0.1839
As1 0.0000 0.3649 0.6882
As2 0.0000 0.5000 0.8609
```

Most intense lines, 10 to 80 degrees two-theta, by angle:
d_spacing  2θ (°)  I/Imax  h k l
6.499  13.63  40  0 1 1
4.489  19.78  56  1 0 1
3.835  23.19  100  1 2 1
3.731  23.85  96  1 3 0
3.249  27.45  68  0 2 2
2.995  29.83  56  1 1 2
2.861  31.26  66  2 0 0
2.851  31.38  75  1 4 1
2.598  34.53  54  1 3 2
2.147  42.08  42  2 2 2


6.
Theoretical powder diffractogram of Cs5As for Cu Kα, 1.54184 Å, from a GGA-PBE-relaxed structure.
No peak broadening, texture or thermal motion is included.

Crystal structure
```
data_Cs5As
_chemical_formula_sum 'Cs10 As2'
_symmetry_space_group_name_H-M 'C 1 m 1'
_symmetry_Int_Tables_number 8
_symmetry_space_group_name_Hall 'C -2y'
_cell_length_a 20.4259
_cell_length_b 4.7726
_cell_length_c 14.0009
_cell_angle_alpha 90.00
_cell_angle_beta 133.16
_cell_angle_gamma 90.00
loop_
_atom_site_label
_atom_site_fract_x
_atom_site_fract_y
_atom_site_fract_z
Cs1 0.0000 0.0000 0.0000
Cs2 0.0012 0.0000 0.2822
Cs3 0.1317 0.5000 0.7702
Cs4 0.2650 0.0000 0.2628
Cs5 0.2665 0.0000 0.5458
As1 0.1333 0.5000 0.2730
```

Most intense lines, 10 to 80 degrees two-theta, by angle:
d_spacing  2θ (°)  I/Imax  h k l
4.680  18.96  54  4 0 -1
4.517  19.65  73  1 1 -1
4.454  19.94  63  2 0 -3
3.812  23.33  51  1 1 -2
3.441  25.89  100  3 1 0
3.337  26.72  39  3 1 -3
2.773  32.28  81  3 1 -4
2.551  35.18  53  8 0 -4
2.485  36.14  60  1 1 3
1.743  52.51  33  8 2 -4


7.
Theoretical powder diffractogram of CsAs for Cu Kα, 1.54184 Å, from a GGA-PBE-relaxed structure.
No peak broadening, texture or thermal motion is included.

Crystal structure
```
data_CsAs
_chemical_formula_sum 'Cs16 As16'
_symmetry_space_group_name_H-M 'F d d d'
_symmetry_Int_Tables_number 70
_cell_length_a 4.7471
_cell_length_b 16.0382
_cell_length_c 19.1699
_cell_angle_alpha 90.00
_cell_angle_beta 90.00
_cell_angle_gamma 90.00
loop_
_symmetry_equiv_pos_as_xyz
'x,y,z'
'-x,-y,-z'
'-x+1/4,-y+1/4,z'
'x+1/4,y+1/4,-z'
'x,-y+1/4,-z+1/4'
'-x,y+1/4,z+1/4'
'-x+1/4,y,-z+1/4'
'x+1/4,-y,z+1/4'
'x,y+1/2,z+1/2'
'-x,-y+1/2,-z+1/2'
'-x+1/4,-y+3/4,z+1/2'
'x+1/4,y+3/4,-z+1/2'
'x,-y+3/4,-z+3/4'
'-x,y+3/4,z+3/4'
'-x+1/4,y+1/2,-z+3/4'
'x+1/4,-y+1/2,z+3/4'
'x+1/2,y,z+1/2'
'-x+1/2,-y,-z+1/2'
'-x+3/4,-y+1/4,z+1/2'
'x+3/4,y+1/4,-z+1/2'
'x+1/2,-y+1/4,-z+3/4'
'-x+1/2,y+1/4,z+3/4'
'-x+3/4,y,-z+3/4'
'x+3/4,-y,z+3/4'
'x+1/2,y+1/2,z'
'-x+1/2,-y+1/2,-z'
'-x+3/4,-y+3/4,z'
'x+3/4,y+3/4,-z'
'x+1/2,-y+3/4,-z+1/4'
'-x+1/2,y+3/4,z+1/4'
'-x+3/4,y+1/2,-z+1/4'
'x+3/4,-y+1/2,z+1/4'
loop_
_atom_site_label
_atom_site_fract_x
_atom_site_fract_y
_atom_site_fract_z
Cs1 0.1250 0.1250 0.2639
As1 0.1250 0.0532 0.6250
```

Most intense lines, 10 to 80 degrees two-theta, by angle:
d_spacing  2θ (°)  I/Imax  h k l
4.010  22.17  23  0 4 0
3.707  24.00  100  1 1 3
3.103  28.77  32  1 3 3
3.075  29.04  36  0 4 4
2.968  30.11  22  0 2 6
2.932  30.48  21  1 1 5
2.276  39.60  25  2 2 0
1.906  47.70  24  2 0 6
1.664  55.20  28  2 6 4
1.649  55.74  25  2 2 8


8.
Theoretical powder diffractogram of Cs2As3 for Cu Kα, 1.54184 Å, from a GGA-PBE-relaxed structure.
No peak broadening, texture or thermal motion is included.

Crystal structure
```
data_Cs2As3
_chemical_formula_sum 'Cs16 As24'
_symmetry_space_group_name_H-M 'F m m m'
_symmetry_Int_Tables_number 69
_symmetry_space_group_name_Hall '-F 2 2'
_cell_length_a 9.8537
_cell_length_b 10.6422
_cell_length_c 16.0119
_cell_angle_alpha 90.00
_cell_angle_beta 90.00
_cell_angle_gamma 90.00
loop_
_atom_site_label
_atom_site_fract_x
_atom_site_fract_y
_atom_site_fract_z
Cs1 0.0000 0.2317 0.0000
Cs2 0.2500 0.2500 0.2500
As1 0.0000 0.0000 0.3480
As2 0.2125 0.0000 0.4245
```

Most intense lines, 10 to 80 degrees two-theta, by angle:
d_spacing  2θ (°)  I/Imax  h k l
6.590  13.44  16  1 1 1
4.196  21.17  16  2 0 2
3.295  27.06  100  2 2 2
3.199  27.89  47  0 2 4
2.661  33.69  24  0 4 0
2.463  36.47  16  4 0 0
2.346  38.36  32  2 0 6
1.952  46.53  20  4 2 4
1.808  50.49  11  4 4 0
1.760  51.96  24  2 4 6